Diffraction record for Na2B3C. The XRD peak list is calculated, not measured: it uses a crystal structure in Alexandria, relaxed with GGA-PBE and copper Kα.

Structural model:
Lattice parameters (Å, degrees): 9.961 17.296 5.896 90.00 90.00 90.00
Space group Fdd2 (No. 43)
One atom of each set of equivalent atoms:
1 Na 0.000 0.000 0.000 (multiplicity 8)
2 Na 0.000 0.000 0.500 (multiplicity 8)
3 Na 0.001 0.249 0.000 (multiplicity 16)
4 B 0.081 0.375 0.240 (multiplicity 16)
5 B 0.088 0.125 0.246 (multiplicity 16)
6 B 0.091 0.375 0.767 (multiplicity 16)
7 C 0.085 0.125 0.752 (multiplicity 16)

Peak list (10 most intense, 2θ from 10° to 80°, in order of falling intensity)
(2 4 2), 2.188 Å, 41.26 deg, rel. 100; (0 8 0), 2.160 Å, 41.83 deg, rel. 91; (2 0 2), 2.537 Å, 35.38 deg, rel. 21; (6 0 2), 1.447 Å, 64.40 deg, rel. 17; (6 8 2), 1.202 Å, 79.76 deg, rel. 17; (2 12 2), 1.253 Å, 75.93 deg, rel. 13; (4 4 4), 1.217 Å, 78.59 deg, rel. 12; (2 8 2), 1.646 Å, 55.87 deg, rel. 11; (0 0 4), 1.474 Å, 63.06 deg, rel. 9; (0 8 4), 1.218 Å, 78.54 deg, rel. 9